[1]
This entry pairs a crystal structure of MgMnSiO5 with its theoretical X-ray diffraction stick pattern. Radiation: Cu Kα (weighted mean of Kα1 and Kα2). Structure: DFT lattice parameters and positions (PBE+U).
Peak positions follow from Bragg's law for the DFT cell and can differ from measured ones.

Structure:
Unit cell a=5.2435 b=5.2535 c=6.9321 alpha=104.97 beta=104.68 gamma=104.81
Space group P1 (No. 1)
Symmetry-distinct sites (fractional):
Mg1 0.0000 0.0000 0.0000
Mg2 0.3393 0.6599 0.4957
Mn1 0.6690 0.3286 0.2462
Mn2 0.6690 0.3291 0.7465
Si1 0.3485 0.6493 0.9965
Si2 0.9891 0.0080 0.4962
O1 0.0403 0.5946 0.8278
O2 0.2977 0.0638 0.6649
O3 0.3435 0.4227 0.1224
O4 0.3999 0.9585 0.1634
O5 0.5793 0.6566 0.8736
O6 0.5802 0.4172 0.4967
O7 0.7574 0.2409 0.9960
O8 0.7582 0.0018 0.6190
O9 0.9385 0.6983 0.3303
O10 0.9941 0.2333 0.3690

Principal peaks in the range 2θ = 5–70°, sorted by position:
(0 1 0), 18.62 deg, 4.765 Å, I 50.7; (0 1 -2), 28.10 deg, 3.175 Å, I 100.0; (1 1 0), 30.76 deg, 2.907 Å, I 56.5; (1 -1 2), 35.73 deg, 2.513 Å, I 27.4; (-1 1 2), 35.87 deg, 2.504 Å, I 70.4; (1 2 -2), 44.78 deg, 2.024 Å, I 21.2; (0 2 2), 55.84 deg, 1.647 Å, I 20.4; (3 0 0), 58.07 deg, 1.588 Å, I 26.0

[2]
This entry pairs a crystal structure of MgMn2O4 with its theoretical X-ray diffraction stick pattern. Radiation: Cu Kα (weighted mean of Kα1 and Kα2). Structure: DFT lattice parameters and positions (PBE+U).
Peak positions follow from Bragg's law for the DFT cell and can differ from measured ones.

Structure:
Unit cell a=6.0115 b=6.0562 c=10.4680 alpha=89.98 beta=73.52 gamma=60.59
Space group P1 (No. 1)
Symmetry-distinct sites (fractional):
Mg1 0.0000 0.0000 0.0000
Mg2 0.0065 0.5075 0.4994
Mg3 0.6186 0.4249 0.8074
Mg4 0.6355 0.9244 0.3060
Mn1 0.0082 0.0095 0.4987
Mn2 0.0097 0.2510 0.2508
Mn3 0.3778 0.0906 0.6939
Mn4 0.3840 0.5767 0.1919
Mn5 0.5028 0.9969 0.9991
Mn6 0.5046 0.5136 0.5010
Mn7 0.9953 0.5038 0.9995
Mn8 0.9953 0.7568 0.7515
O1 0.2108 0.6399 0.8756
O2 0.2209 0.1393 0.3773
O3 0.2294 0.9095 0.6118
O4 0.2302 0.3706 0.1429
O5 0.2363 0.1519 0.9019
O6 0.2393 0.9241 0.1259
O7 0.2450 0.6578 0.3990
O8 0.2476 0.4322 0.6199
O9 0.7461 0.6244 0.8743
O10 0.7517 0.0886 0.8786
O11 0.7606 0.8541 0.1039
O12 0.7644 0.3616 0.6014
O13 0.7683 0.5845 0.3747
O14 0.7957 0.1157 0.3703
O15 0.7957 0.3554 0.1301
O16 0.7971 0.8776 0.6145

Principal peaks in the range 2θ = 5–70°, sorted by position:
(1 1 1), 18.04 deg, 4.916 Å, I 60.7; (1 2 0), 29.53 deg, 3.025 Å, I 34.8; (-1 1 1), 34.44 deg, 2.604 Å, I 32.5; (0 1 3), 34.51 deg, 2.599 Å, I 29.9; (1 1 -3), 34.80 deg, 2.578 Å, I 100.0; (2 0 4), 42.41 deg, 2.131 Å, I 45.2; (2 0 -4), 60.91 deg, 1.521 Å, I 36.4; (2 2 6), 61.27 deg, 1.513 Å, I 33.4

[3]
This entry pairs a crystal structure of YV4Cu3O12 with its theoretical X-ray diffraction stick pattern. Radiation: Cu Kα (weighted mean of Kα1 and Kα2). Structure: DFT lattice parameters and positions (PBE+U).
Peak positions follow from Bragg's law for the DFT cell and can differ from measured ones.

Structure:
Unit cell a=10.4766 b=10.4766 c=6.4306 alpha=90.00 beta=90.00 gamma=120.00
Space group R-3 (No. 148, hexagonal axes)
Symmetry-distinct sites (fractional):
Y1 0.0000 0.0000 0.0000
V1 0.0000 0.0000 0.5000
V2 0.0000 0.5000 0.5000
Cu1 0.0000 0.5000 0.0000
O1 0.0196 0.8601 0.6872
O2 0.0403 0.7838 0.0839

Principal peaks in the range 2θ = 5–70°, sorted by position:
(0 2 1), 24.01 deg, 3.707 Å, I 2.7; (2 0 2), 34.21 deg, 2.621 Å, I 100.0; (1 2 2), 38.39 deg, 2.345 Å, I 6.0; (4 0 1), 42.23 deg, 2.140 Å, I 7.1; (4 1 0), 45.79 deg, 1.981 Å, I 4.9; (0 4 2), 49.16 deg, 1.853 Å, I 28.0; (0 2 4), 61.16 deg, 1.515 Å, I 12.1; (6 -2 2), 61.28 deg, 1.513 Å, I 36.1

[4]
This entry pairs a crystal structure of Li9Mn2Co5O16 with its theoretical X-ray diffraction stick pattern. Radiation: Cu Kα (weighted mean of Kα1 and Kα2). Structure: DFT lattice parameters and positions (PBE+U).
Peak positions follow from Bragg's law for the DFT cell and can differ from measured ones.

Structure:
Unit cell a=2.9794 b=5.9839 c=16.1588 alpha=90.74 beta=91.00 gamma=94.50
Space group P1 (No. 1)
Symmetry-distinct sites (fractional):
Li1 0.0000 0.0000 0.0000
Li2 0.9996 0.0025 0.4992
Li3 0.0065 0.9908 0.2552
Li4 0.4943 0.2462 0.1316
Li5 0.4974 0.7513 0.8763
Li6 0.4985 0.2512 0.6262
Li7 0.4993 0.7573 0.3724
Li8 0.9937 0.5116 0.2562
Li9 0.9985 0.4992 0.7525
Mn1 0.4948 0.7562 0.1308
Mn2 0.4980 0.7500 0.6262
Co1 0.9998 0.4993 0.4999
Co2 0.4982 0.2512 0.8774
Co3 0.5018 0.2421 0.3711
Co4 0.9868 0.5035 0.0009
Co5 0.9959 0.0035 0.7525
O1 0.0243 0.0146 0.8716
O2 0.0242 0.9694 0.1263
O3 0.0250 0.0221 0.3773
O4 0.0271 0.5031 0.6204
O5 0.4666 0.7354 0.0062
O6 0.4729 0.2394 0.7588
O7 0.4742 0.7379 0.5054
O8 0.4963 0.2554 0.2636
O9 0.5038 0.7472 0.2427
O10 0.5238 0.2646 0.9975
O11 0.5247 0.2644 0.4918
O12 0.5253 0.7631 0.7484
O13 0.9684 0.5287 0.1214
O14 0.9706 0.9969 0.6330
O15 0.9753 0.4870 0.3829
O16 0.9753 0.4866 0.8827

Principal peaks in the range 2θ = 5–70°, sorted by position:
(0 0 1), 5.47 deg, 16.155 Å, I 20.2; (0 1 -2), 18.36 deg, 4.831 Å, I 100.0; (-1 1 2), 34.38 deg, 2.608 Å, I 18.6; (1 1 2), 36.82 deg, 2.441 Å, I 23.0; (1 -2 0), 41.17 deg, 2.193 Å, I 33.8; (1 2 0), 44.73 deg, 2.026 Å, I 25.4; (0 0 8), 44.89 deg, 2.019 Å, I 24.7; (2 0 0), 62.60 deg, 1.484 Å, I 15.6

[5]
This entry pairs a crystal structure of Li4Ti3V3Sn2O16 with its theoretical X-ray diffraction stick pattern. Radiation: Cu Kα (weighted mean of Kα1 and Kα2). Structure: DFT lattice parameters and positions (PBE+U).
Peak positions follow from Bragg's law for the DFT cell and can differ from measured ones.

Structure:
Unit cell a=10.4155 b=6.0112 c=9.8582 alpha=90.00 beta=90.78 gamma=90.00
Space group Cm (No. 8)
Symmetry-distinct sites (fractional):
Li1 0.0000 0.0000 0.0000
Li2 0.0046 0.0000 0.4981
Li3 0.1701 0.5000 0.0938
Li4 0.3369 0.0000 0.5958
Ti1 0.3324 0.5000 0.7738
Ti2 0.4151 0.2459 0.2762
V1 0.0875 0.2556 0.7782
V2 0.1782 0.0000 0.2794
Sn1 0.1644 0.5000 0.5011
Sn2 0.3333 0.0000 0.9976
O1 0.0199 0.5000 0.6539
O2 0.0786 0.2452 0.3921
O3 0.1598 0.0000 0.8942
O4 0.1761 0.5000 0.8852
O5 0.2485 0.2807 0.6517
O6 0.2682 0.2295 0.1481
O7 0.3371 0.5000 0.3874
O8 0.3509 0.0000 0.3887
O9 0.4171 0.2589 0.8903
O10 0.4841 0.0000 0.1576
O11 0.4972 0.5000 0.1866
O12 0.4986 0.5000 0.6833

Principal peaks in the range 2θ = 5–70°, sorted by position:
(2 0 -1), 19.21 deg, 4.621 Å, I 100.0; (2 0 1), 19.35 deg, 4.586 Å, I 92.0; (1 1 -2), 24.76 deg, 3.595 Å, I 32.4; (1 1 3), 32.35 deg, 2.767 Å, I 37.8; (3 1 -2), 34.77 deg, 2.580 Å, I 33.9; (0 2 2), 34.97 deg, 2.566 Å, I 33.5; (3 1 2), 35.15 deg, 2.553 Å, I 34.7; (0 4 0), 61.72 deg, 1.503 Å, I 46.1